Entry 1:
Structure and calculated PXRD pattern of Ca5Sn3S11 (the GGA-PBE geometry in Alexandria; Cu Kα, 1.54184 Å).
No peak broadening, texture or thermal motion is included.

Structure:
```
data_Ca5Sn3S11
_chemical_formula_sum 'Ca10 Sn6 S22'
_cell_length_a 8.634
_cell_length_b 8.798
_cell_length_c 13.894
_cell_angle_alpha 83.00
_cell_angle_beta 86.42
_cell_angle_gamma 76.95
_space_group_name_H-M_alt 'P -1'
_space_group_IT_number 2
loop_
_space_group_symop_operation_xyz
'x,y,z'
'-x,-y,-z'
loop_
_atom_site_label
_atom_site_fract_x
_atom_site_fract_y
_atom_site_fract_z
Ca1 0.053 0.499 0.241
Ca2 0.124 0.961 0.781
Ca3 0.303 0.213 0.998
Ca4 0.334 0.164 0.510
Ca5 0.440 0.570 0.742
Sn1 0.166 0.683 0.465
Sn2 0.224 0.702 0.016
Sn3 0.414 0.959 0.257
S1 0.023 0.222 0.894
S2 0.066 0.231 0.631
S3 0.143 0.672 0.637
S4 0.162 0.631 0.861
S5 0.181 0.119 0.187
S6 0.295 0.448 0.392
S7 0.335 0.459 0.112
S8 0.342 0.872 0.430
S9 0.368 0.898 0.949
S10 0.408 0.263 0.799
S11 0.425 0.897 0.667
```

The 12 most intense peaks (2θ from 5° to 70°), low angle first:
16.36°, d 5.418, I = 100.0, hkl 1 -1 0
21.20°, d 4.191, I = 49.2, hkl 1 2 0
21.40°, d 4.152, I = 30.2, hkl 2 1 0
22.07°, d 4.028, I = 25.1, hkl 1 1 3
22.95°, d 3.875, I = 30.2, hkl 2 1 -1
23.30°, d 3.817, I = 65.8, hkl 0 2 2
24.41°, d 3.647, I = 43.8, hkl 2 0 2
25.21°, d 3.532, I = 33.2, hkl 2 0 -2
25.81°, d 3.451, I = 62.0, hkl 0 2 -2
26.31°, d 3.387, I = 27.7, hkl 2 2 1
33.07°, d 2.709, I = 39.1, hkl 2 -2 0
41.40°, d 2.181, I = 31.5, hkl 1 4 0


Entry 2:
Structure and calculated PXRD pattern of HoTh4As5 (the GGA-PBE geometry in Alexandria; Cu Kα, 1.54184 Å).
No peak broadening, texture or thermal motion is included.

Structure:
```
data_HoTh4As5
_chemical_formula_sum 'Ho2 Th8 As10'
_cell_length_a 9.445
_cell_length_b 9.445
_cell_length_c 5.984
_cell_angle_alpha 90.00
_cell_angle_beta 90.00
_cell_angle_gamma 90.00
_space_group_name_H-M_alt 'I 4/m'
_space_group_IT_number 87
_space_group_name_Hall '-I 4'
loop_
_atom_site_label
_atom_site_fract_x
_atom_site_fract_y
_atom_site_fract_z
Ho1 0.000 0.000 0.000
Th1 0.099 0.300 0.500
As1 0.000 0.000 0.500
As2 0.099 0.294 0.000
```

The 10 most intense peaks (2θ from 5° to 70°), low angle first:
13.26°, d 6.679, I = 0.6, hkl 1 1 0
17.54°, d 5.055, I = 0.6, hkl 1 0 1
25.82°, d 3.451, I = 40.7, hkl 2 1 1
29.90°, d 2.989, I = 100.0, hkl 1 3 0
42.79°, d 2.113, I = 76.2, hkl 4 2 0
50.65°, d 1.802, I = 21.0, hkl 5 0 1
53.08°, d 1.725, I = 27.2, hkl 4 2 2
62.04°, d 1.496, I = 4.3, hkl 0 0 4
62.16°, d 1.493, I = 8.5, hkl 2 6 0
68.42°, d 1.371, I = 8.8, hkl 6 3 1


Entry 3:
Structure and calculated PXRD pattern of ThGeO4F (the GGA-PBE geometry in Alexandria; Cu Kα, 1.54184 Å).
No peak broadening, texture or thermal motion is included.

Structure:
```
data_ThGeO4F
_chemical_formula_sum 'Th4 Ge4 O16 F4'
_cell_length_a 9.915
_cell_length_b 7.270
_cell_length_c 6.526
_cell_angle_alpha 90.00
_cell_angle_beta 100.14
_cell_angle_gamma 90.00
_space_group_name_H-M_alt 'C 1 2/m 1'
_space_group_IT_number 12
loop_
_space_group_symop_operation_xyz
'x,y,z'
'-x,-y,-z'
'-x,y,-z'
'x,-y,z'
'x+1/2,y+1/2,z'
'-x+1/2,-y+1/2,-z'
'-x+1/2,y+1/2,-z'
'x+1/2,-y+1/2,z'
loop_
_atom_site_label
_atom_site_fract_x
_atom_site_fract_y
_atom_site_fract_z
Th1 0.200 0.000 0.120
Ge1 0.160 0.500 0.310
O1 0.012 0.500 0.617
O2 0.177 0.320 0.133
O3 0.226 0.000 0.460
F1 0.032 0.000 0.822
```

The 12 most intense peaks (2θ from 5° to 70°), low angle first:
13.78°, d 6.424, I = 62.0, hkl 0 0 1
18.18°, d 4.880, I = 83.8, hkl 2 0 0
19.45°, d 4.563, I = 75.4, hkl 1 1 -1
24.49°, d 3.635, I = 100.0, hkl 0 2 0
24.78°, d 3.593, I = 73.3, hkl 2 0 1
30.32°, d 2.947, I = 67.1, hkl 1 1 -2
30.67°, d 2.915, I = 33.3, hkl 2 2 0
31.08°, d 2.877, I = 52.4, hkl 3 1 -1
33.23°, d 2.696, I = 35.6, hkl 1 1 2
35.12°, d 2.555, I = 39.2, hkl 2 2 1
46.71°, d 1.945, I = 36.0, hkl 1 1 3
46.90°, d 1.937, I = 27.6, hkl 1 3 -2


Entry 4:
Structure and calculated PXRD pattern of MnRuCS (the GGA-PBE geometry in Alexandria; Cu Kα, 1.54184 Å).
No peak broadening, texture or thermal motion is included.

Structure:
```
data_MnRuCS
_chemical_formula_sum 'Mn1 Ru1 C1 S1'
_cell_length_a 3.3434
_cell_length_b 3.3434
_cell_length_c 5.6653
_cell_angle_alpha 90.00
_cell_angle_beta 90.00
_cell_angle_gamma 120.00
_space_group_name_H-M_alt 'P 3 m 1'
_space_group_IT_number 156
loop_
_space_group_symop_operation_xyz
'x,y,z'
'-y,x-y,z'
'-x+y,-x,z'
'-y,-x,z'
'-x+y,y,z'
'x,x-y,z'
loop_
_atom_site_label
_atom_site_fract_x
_atom_site_fract_y
_atom_site_fract_z
Mn1 0.0000 0.0000 0.0000
Ru1 0.6667 0.3333 0.6396
C1 0.0000 0.0000 0.6639
S1 0.6667 0.3333 0.2127
```

The 12 most intense peaks (2θ from 5° to 70°), low angle first:
15.64°, d 5.665, I = 35.3, hkl 0 0 1
30.88°, d 2.896, I = 89.8, hkl 1 0 0
31.58°, d 2.833, I = 32.1, hkl 0 0 2
34.80°, d 2.578, I = 100.0, hkl 0 1 1
44.76°, d 2.025, I = 88.7, hkl 1 0 2
48.19°, d 1.888, I = 14.1, hkl 0 0 3
54.92°, d 1.672, I = 47.0, hkl 1 1 0
57.48°, d 1.603, I = 6.9, hkl 1 1 1
58.34°, d 1.582, I = 19.8, hkl 0 1 3
64.35°, d 1.448, I = 10.0, hkl 2 0 0
64.75°, d 1.440, I = 21.9, hkl 1 1 2
66.68°, d 1.403, I = 14.5, hkl 2 0 1


Entry 5:
Structure and calculated PXRD pattern of Tc4Rh3 (the GGA-PBE geometry in Alexandria; Cu Kα, 1.54184 Å).
No peak broadening, texture or thermal motion is included.

Structure:
```
data_Tc4Rh3
_chemical_formula_sum 'Tc4 Rh3'
_cell_length_a 5.0025
_cell_length_b 5.0025
_cell_length_c 4.7776
_cell_angle_alpha 90.00
_cell_angle_beta 90.00
_cell_angle_gamma 120.00
_space_group_name_H-M_alt 'P 6/m m m'
_space_group_IT_number 191
_space_group_name_Hall '-P 6 2'
loop_
_atom_site_label
_atom_site_fract_x
_atom_site_fract_y
_atom_site_fract_z
Tc1 0.0000 0.0000 0.2352
Tc2 0.3333 0.6667 0.0000
Rh1 0.0000 0.5000 0.5000
```

The 12 most intense peaks (2θ from 5° to 70°), low angle first:
18.57°, d 4.778, I = 8.7, hkl 0 0 1
35.90°, d 2.501, I = 45.9, hkl 1 1 0
37.66°, d 2.389, I = 15.6, hkl 0 0 2
40.72°, d 2.216, I = 77.4, hkl 1 1 1
41.70°, d 2.166, I = 59.5, hkl 2 0 0
43.25°, d 2.092, I = 100.0, hkl 1 0 2
46.00°, d 1.973, I = 81.4, hkl 2 0 1
53.01°, d 1.728, I = 3.5, hkl 1 1 2
57.90°, d 1.593, I = 1.3, hkl 0 0 3
64.53°, d 1.444, I = 7.9, hkl 3 0 0
67.79°, d 1.382, I = 16.5, hkl 3 0 1
69.61°, d 1.351, I = 46.8, hkl 2 1 2


Entry 6:
Structure and calculated PXRD pattern of TaHg2F8 (the GGA-PBE geometry in Alexandria; Cu Kα, 1.54184 Å).
No peak broadening, texture or thermal motion is included.

Structure:
```
data_TaHg2F8
_chemical_formula_sum 'Ta1 Hg2 F8'
_cell_length_a 7.3696
_cell_length_b 7.3696
_cell_length_c 4.4273
_cell_angle_alpha 90.00
_cell_angle_beta 90.00
_cell_angle_gamma 120.00
_space_group_name_H-M_alt 'P -3 m 1'
_space_group_IT_number 164
_space_group_name_Hall '-P 3 2"'
loop_
_atom_site_label
_atom_site_fract_x
_atom_site_fract_y
_atom_site_fract_z
Ta1 0.0000 0.0000 0.0000
Hg1 0.3333 0.6667 0.7176
F1 0.1252 0.2504 0.7570
F2 0.3333 0.6667 0.2189
```

The 12 most intense peaks (2θ from 5° to 70°), low angle first:
24.15°, d 3.685, I = 100.0, hkl 1 1 0
24.47°, d 3.638, I = 80.0, hkl 1 0 1
34.65°, d 2.589, I = 21.4, hkl 0 2 1
42.49°, d 2.127, I = 20.2, hkl 3 0 0
42.69°, d 2.118, I = 44.2, hkl 2 1 1
43.26°, d 2.091, I = 15.6, hkl 0 1 2
49.47°, d 1.842, I = 17.4, hkl 2 2 0
50.16°, d 1.819, I = 15.4, hkl 2 0 2
55.94°, d 1.644, I = 14.2, hkl 1 3 1
56.42°, d 1.631, I = 21.1, hkl 1 2 2
67.22°, d 1.393, I = 12.4, hkl 4 1 0
67.79°, d 1.382, I = 10.6, hkl 3 1 2


Entry 7:
Structure and calculated PXRD pattern of Tl3Sb2Pb6 (the GGA-PBE geometry in Alexandria; Cu Kα, 1.54184 Å).
No peak broadening, texture or thermal motion is included.

Structure:
```
data_Tl3Sb2Pb6
_chemical_formula_sum 'Tl6 Sb4 Pb12'
_cell_length_a 4.664
_cell_length_b 4.664
_cell_length_c 34.417
_cell_angle_alpha 90.00
_cell_angle_beta 90.00
_cell_angle_gamma 90.00
_space_group_name_H-M_alt 'I 4/m m m'
_space_group_IT_number 139
_space_group_name_Hall '-I 4 2'
loop_
_atom_site_label
_atom_site_fract_x
_atom_site_fract_y
_atom_site_fract_z
Tl1 0.000 0.000 0.000
Tl2 0.000 0.000 0.169
Sb1 0.000 0.000 0.359
Pb1 0.000 0.000 0.267
Pb2 0.000 0.500 0.074
```

The 12 most intense peaks (2θ from 5° to 70°), low angle first:
27.54°, d 3.239, I = 69.4, hkl 1 1 2
30.22°, d 2.957, I = 15.0, hkl 1 0 9
31.26°, d 2.861, I = 100.0, hkl 0 0 12
34.26°, d 2.617, I = 51.0, hkl 1 1 8
34.52°, d 2.598, I = 49.0, hkl 1 0 11
38.61°, d 2.332, I = 68.8, hkl 2 0 0
50.44°, d 1.809, I = 24.3, hkl 2 0 12
52.74°, d 1.736, I = 29.8, hkl 2 1 11
55.74°, d 1.649, I = 24.0, hkl 2 2 0
63.28°, d 1.470, I = 14.0, hkl 3 1 2
65.30°, d 1.429, I = 30.8, hkl 2 2 12
67.08°, d 1.395, I = 15.0, hkl 3 1 8


Entry 8:
Structure and calculated PXRD pattern of ErTaFe4 (the GGA-PBE geometry in Alexandria; Cu Kα, 1.54184 Å).
No peak broadening, texture or thermal motion is included.

Structure:
```
data_ErTaFe4
_chemical_formula_sum 'Er2 Ta2 Fe8'
_cell_length_a 4.9457
_cell_length_b 4.9457
_cell_length_c 8.1433
_cell_angle_alpha 90.00
_cell_angle_beta 90.00
_cell_angle_gamma 120.00
_space_group_name_H-M_alt 'P -3 m 1'
_space_group_IT_number 164
_space_group_name_Hall '-P 3 2"'
loop_
_atom_site_label
_atom_site_fract_x
_atom_site_fract_y
_atom_site_fract_z
Er1 0.3333 0.6667 0.0671
Ta1 0.3333 0.6667 0.4441
Fe1 0.0000 0.0000 0.0000
Fe2 0.0000 0.0000 0.5000
Fe3 0.1680 0.3360 0.7355
```

The 12 most intense peaks (2θ from 5° to 70°), low angle first:
20.74°, d 4.283, I = 16.5, hkl 1 0 0
23.47°, d 3.791, I = 12.6, hkl 0 1 1
30.29°, d 2.951, I = 16.5, hkl 1 0 2
36.33°, d 2.473, I = 70.7, hkl 1 1 0
39.30°, d 2.293, I = 100.0, hkl 0 1 3
42.20°, d 2.142, I = 16.0, hkl 2 0 0
42.78°, d 2.114, I = 99.5, hkl 1 1 2
43.71°, d 2.071, I = 49.3, hkl 2 0 1
60.85°, d 1.522, I = 14.5, hkl 0 1 5
65.36°, d 1.428, I = 12.9, hkl 3 0 0
67.35°, d 1.390, I = 39.8, hkl 1 2 3
69.81°, d 1.347, I = 22.5, hkl 3 0 2


Entry 9:
Structure and calculated PXRD pattern of Y3Si2Au4 (the GGA-PBE geometry in Alexandria; Cu Kα, 1.54184 Å).
No peak broadening, texture or thermal motion is included.

Structure:
```
data_Y3Si2Au4
_chemical_formula_sum 'Y6 Si4 Au8'
_cell_length_a 10.762
_cell_length_b 4.404
_cell_length_c 8.658
_cell_angle_alpha 90.00
_cell_angle_beta 111.71
_cell_angle_gamma 90.00
_space_group_name_H-M_alt 'C 1 2/m 1'
_space_group_IT_number 12
loop_
_space_group_symop_operation_xyz
'x,y,z'
'-x,-y,-z'
'-x,y,-z'
'x,-y,z'
'x+1/2,y+1/2,z'
'-x+1/2,-y+1/2,-z'
'-x+1/2,y+1/2,-z'
'x+1/2,-y+1/2,z'
loop_
_atom_site_label
_atom_site_fract_x
_atom_site_fract_y
_atom_site_fract_z
Y1 0.000 0.000 0.000
Y2 0.165 0.500 0.664
Si1 0.107 0.500 0.280
Au1 0.059 0.000 0.381
Au2 0.212 0.500 0.068
```

The 12 most intense peaks (2θ from 5° to 70°), low angle first:
22.07°, d 4.028, I = 22.1, hkl 0 0 2
24.19°, d 3.680, I = 36.7, hkl 2 0 1
28.93°, d 3.086, I = 24.6, hkl 1 1 -2
32.21°, d 2.779, I = 19.3, hkl 3 1 -1
33.40°, d 2.683, I = 42.0, hkl 0 0 3
33.74°, d 2.657, I = 100.0, hkl 3 1 0
40.11°, d 2.248, I = 70.7, hkl 3 1 -3
40.98°, d 2.202, I = 36.0, hkl 0 2 0
47.39°, d 1.918, I = 22.7, hkl 1 1 -4
49.55°, d 1.840, I = 20.7, hkl 4 0 2
53.86°, d 1.702, I = 21.4, hkl 0 2 3
65.57°, d 1.424, I = 33.1, hkl 1 1 5


Entry 10:
Structure and calculated PXRD pattern of AgP2IrS (the GGA-PBE geometry in Alexandria; Cu Kα, 1.54184 Å).
No peak broadening, texture or thermal motion is included.

Structure:
```
data_AgP2IrS
_chemical_formula_sum 'Ag1 P2 Ir1 S1'
_cell_length_a 4.463
_cell_length_b 4.463
_cell_length_c 5.335
_cell_angle_alpha 90.00
_cell_angle_beta 90.00
_cell_angle_gamma 90.00
_space_group_name_H-M_alt 'P 4/m m m'
_space_group_IT_number 123
_space_group_name_Hall '-P 4 2'
loop_
_atom_site_label
_atom_site_fract_x
_atom_site_fract_y
_atom_site_fract_z
Ag1 0.000 0.000 0.000
P1 0.000 0.500 0.500
Ir1 0.500 0.500 0.500
S1 0.500 0.500 0.000
```

The 12 most intense peaks (2θ from 5° to 70°), low angle first:
16.62°, d 5.335, I = 11.2, hkl 0 0 1
19.89°, d 4.463, I = 16.3, hkl 1 0 0
26.03°, d 3.423, I = 100.0, hkl 1 0 1
28.28°, d 3.156, I = 42.3, hkl 1 1 0
33.60°, d 2.667, I = 28.6, hkl 0 0 2
40.42°, d 2.232, I = 33.9, hkl 2 0 0
44.47°, d 2.037, I = 25.0, hkl 1 1 2
48.71°, d 1.870, I = 37.3, hkl 2 1 1
53.54°, d 1.712, I = 29.3, hkl 2 0 2
55.64°, d 1.652, I = 12.5, hkl 1 0 3
58.49°, d 1.578, I = 11.1, hkl 2 2 0
69.17°, d 1.358, I = 13.4, hkl 2 2 2